# SmW2O8
Simulated X-ray diffraction stick pattern, λ = 1.5418 Å (Cu Kα). Input: the PBE+U geometry in Alexandria.

```
SmW2O8
1.0
-2.430 2.430 5.680
2.430 -2.430 5.680
2.430 2.430 -5.680
Sm W O
1 2 8
Cartesian
0.000 0.000 0.000 Sm
2.430 0.000 2.840 W
0.000 2.430 2.840 W
1.210 1.210 -1.673 O
1.220 -1.220 4.007 O
1.210 1.210 1.673 O
1.220 -1.220 7.352 O
-1.220 1.220 4.007 O
1.220 1.220 4.007 O
-1.220 1.220 7.352 O
1.220 1.220 7.352 O
```

Principal peaks in the range 15° ≤ 2θ ≤ 90°, in order of rising 2θ:
| 2θ (°) | I_rel |
| --- | --- |
| 15.60 | 30 |
| 19.87 | 25 |
| 30.40 | 100 |
| 36.99 | 16 |
| 49.36 | 38 |
| 53.31 | 16 |
| 55.41 | 19 |
| 62.61 | 26 |